Structure and simulated X-ray powder pattern of Cs6Tm3Br14 (a crystal structure in Alexandria, relaxed with GGA-PBE; Cu Kα (λ = 1.5418 Å)).
No peak broadening, texture or thermal motion is included.

Main lines, low angle first (2θ = 10–90°):
- 2θ 13.45, intensity 67
- 2θ 14.30, intensity 48
- 2θ 18.06, intensity 59
- 2θ 19.67, intensity 100
- 2θ 23.91, intensity 65
- 2θ 26.37, intensity 51
- 2θ 28.21, intensity 60
- 2θ 28.82, intensity 53
- 2θ 30.75, intensity 62
- 2θ 31.93, intensity 46

Atomic structure:
abc: 13.171 13.171 7.378
angles: 90.00 90.00 120.00
Sites, in units of the cell vectors:
Cs 0.030 0.579 0.000
Cs 0.317 0.094 0.471
Cs 0.421 0.451 0.000
Cs 0.549 0.970 0.000
Cs 0.776 0.683 0.471
Cs 0.906 0.224 0.471
Tm 0.000 0.000 0.898
Tm 0.333 0.667 0.465
Tm 0.667 0.333 0.776
Br 0.000 0.000 0.256
Br 0.068 0.858 0.764
Br 0.142 0.210 0.764
Br 0.192 0.466 0.286
Br 0.274 0.808 0.286
Br 0.333 0.667 0.818
Br 0.465 0.197 0.984
Br 0.531 0.396 0.562
Br 0.534 0.726 0.286
Br 0.604 0.135 0.562
Br 0.732 0.535 0.984
Br 0.790 0.932 0.764
Br 0.803 0.268 0.984
Br 0.865 0.469 0.562

---

Structure and simulated X-ray powder pattern of TiW2 (a crystal structure in Alexandria, relaxed with GGA-PBE; Cu Kα (λ = 1.5418 Å)).
No peak broadening, texture or thermal motion is included.

Main lines, low angle first (2θ = 10–90°):
- 2θ 13.15, intensity 39
- 2θ 35.14, intensity 15
- 2θ 39.81, intensity 25
- 2θ 40.06, intensity 100
- 2θ 40.18, intensity 25
- 2θ 57.84, intensity 17
- 2θ 72.44, intensity 17
- 2θ 72.70, intensity 9
- 2θ 72.94, intensity 26
- 2θ 86.48, intensity 11

Atomic structure:
abc: 7.104 6.918 2.766
angles: 82.42 74.87 22.71
Sites, in units of the cell vectors:
Ti 0.000 0.000 0.000
W 0.332 0.332 0.668
W 0.668 0.668 0.332

---

Structure and simulated X-ray powder pattern of Ca2Sn4Pd3 (a crystal structure in Alexandria, relaxed with GGA-PBE; Cu Kα (λ = 1.5418 Å)).
No peak broadening, texture or thermal motion is included.

Main lines, low angle first (2θ = 10–90°):
- 2θ 15.58, intensity 24
- 2θ 18.84, intensity 35
- 2θ 32.85, intensity 32
- 2θ 33.40, intensity 53
- 2θ 35.11, intensity 21
- 2θ 35.46, intensity 17
- 2θ 36.46, intensity 100
- 2θ 40.53, intensity 42
- 2θ 44.80, intensity 50
- 2θ 65.22, intensity 23

Atomic structure:
abc: 8.577 8.577 8.092
angles: 90.00 90.00 137.52
Sites, in units of the cell vectors:
Ca 0.110 0.890 0.903
Ca 0.390 0.610 0.403
Ca 0.610 0.390 0.597
Ca 0.890 0.110 0.097
Sn 0.183 0.817 0.520
Sn 0.188 0.312 0.750
Sn 0.312 0.188 0.250
Sn 0.317 0.683 0.020
Sn 0.683 0.317 0.980
Sn 0.688 0.812 0.750
Sn 0.812 0.688 0.250
Sn 0.817 0.183 0.480
Pd 0.000 0.000 0.500
Pd 0.018 0.482 0.750
Pd 0.482 0.018 0.250
Pd 0.500 0.500 0.000
Pd 0.518 0.982 0.750
Pd 0.982 0.518 0.250

---

Structure and simulated X-ray powder pattern of Tb7RhSe5 (a crystal structure in Alexandria, relaxed with GGA-PBE; Cu Kα (λ = 1.5418 Å)).
No peak broadening, texture or thermal motion is included.

Main lines, low angle first (2θ = 10–90°):
- 2θ 28.73, intensity 87
- 2θ 30.22, intensity 40
- 2θ 30.89, intensity 100
- 2θ 31.98, intensity 70
- 2θ 32.09, intensity 46
- 2θ 40.75, intensity 43
- 2θ 44.24, intensity 30
- 2θ 44.56, intensity 33
- 2θ 45.71, intensity 40
- 2θ 54.88, intensity 36

Atomic structure:
abc: 7.045 7.045 24.495
angles: 90.00 90.00 147.28
Sites, in units of the cell vectors:
Tb 0.045 0.955 0.500
Tb 0.139 0.861 0.787
Tb 0.140 0.860 0.212
Tb 0.293 0.707 0.569
Tb 0.294 0.706 0.431
Tb 0.410 0.590 0.867
Tb 0.412 0.588 0.134
Tb 0.588 0.412 0.634
Tb 0.590 0.410 0.367
Tb 0.706 0.294 0.931
Tb 0.707 0.293 0.069
Tb 0.860 0.140 0.712
Tb 0.861 0.139 0.287
Tb 0.955 0.045 0.000
Rh 0.310 0.690 0.999
Rh 0.690 0.310 0.499
Se 0.057 0.943 0.894
Se 0.058 0.942 0.106
Se 0.220 0.780 0.679
Se 0.221 0.779 0.321
Se 0.499 0.501 0.750
Se 0.501 0.499 0.250
Se 0.779 0.221 0.821
Se 0.780 0.220 0.179
Se 0.942 0.058 0.606
Se 0.943 0.057 0.394

---

Structure and simulated X-ray powder pattern of CaPd3Pb2 (a crystal structure in Alexandria, relaxed with GGA-PBE; Cu Kα (λ = 1.5418 Å)).
No peak broadening, texture or thermal motion is included.

Main lines, low angle first (2θ = 10–90°):
- 2θ 13.05, intensity 13
- 2θ 35.81, intensity 27
- 2θ 36.63, intensity 25
- 2θ 36.87, intensity 100
- 2θ 52.07, intensity 9
- 2θ 52.25, intensity 9
- 2θ 54.08, intensity 9
- 2θ 64.98, intensity 9
- 2θ 65.10, intensity 9
- 2θ 66.04, intensity 9

Atomic structure:
abc: 5.015 6.784 7.768
angles: 90.00 108.65 90.00
Sites, in units of the cell vectors:
Ca 0.165 0.000 0.324
Ca 0.835 0.000 0.676
Pd 0.000 0.267 0.000
Pd 0.000 0.733 0.000
Pd 0.329 0.247 0.672
Pd 0.329 0.753 0.672
Pd 0.671 0.247 0.328
Pd 0.671 0.753 0.328
Pb 0.175 0.500 0.343
Pb 0.500 0.000 0.000
Pb 0.500 0.500 0.000
Pb 0.825 0.500 0.657

---

Structure and simulated X-ray powder pattern of SmCo6B3 (a crystal structure in Alexandria, relaxed with GGA-PBE; Cu Kα (λ = 1.5418 Å)).
No peak broadening, texture or thermal motion is included.

Main lines, low angle first (2θ = 10–90°):
- 2θ 32.57, intensity 31
- 2θ 33.32, intensity 28
- 2θ 35.74, intensity 30
- 2θ 36.62, intensity 22
- 2θ 38.96, intensity 25
- 2θ 41.29, intensity 100
- 2θ 41.63, intensity 53
- 2θ 41.95, intensity 49
- 2θ 46.20, intensity 23
- 2θ 53.29, intensity 24

Atomic structure:
abc: 5.025 5.105 5.475
angles: 86.36 64.21 60.74
Sites, in units of the cell vectors:
Sm 0.000 0.000 0.000
Co 0.097 0.473 0.796
Co 0.280 0.112 0.394
Co 0.292 0.595 0.324
Co 0.631 0.461 0.790
Co 0.670 0.955 0.681
Co 0.798 0.572 0.325
B 0.309 0.322 0.057
B 0.564 0.329 0.500
B 0.590 0.757 0.061

---

> Which formula does entry 6 have?

SmCo6B3